Theoretical powder XRD pattern of LiCo3SbP6O24 for CuKα, from a cell relaxed with GGA+U.
Intensities are scaled so that the largest is 100.

The 10 most intense peaks (2θ from 15° to 90°), by angle:
d (Å), 2θ/deg, I/Imax
4.380, 20.28, 100
4.170, 21.31, 59
3.626, 24.55, 93
3.020, 29.58, 69
2.756, 32.49, 66
2.446, 36.74, 26
2.408, 37.35, 25
1.882, 48.37, 28
1.813, 50.32, 20
1.715, 53.44, 24

Structure:
```
data_LiCo3SbP6O24
_symmetry_space_group_name_H-M 'R 3'
_symmetry_Int_Tables_number 146
_symmetry_space_group_name_Hall 'R 3'
_cell_length_a 8.3406
_cell_length_b 8.3406
_cell_length_c 22.0317
_cell_angle_alpha 90.00
_cell_angle_beta 90.00
_cell_angle_gamma 120.00
loop_
_atom_site_label
_atom_site_type_symbol
_atom_site_fract_x
_atom_site_fract_y
_atom_site_fract_z
Li1 Li 0.0000 0.0000 0.0000
Co1 Co 0.0000 0.0000 0.3716
Co2 Co 0.0000 0.0000 0.6657
Co3 Co 0.0000 0.0000 0.8741
Sb1 Sb 0.0000 0.0000 0.1626
P1 P 0.0485 0.6743 0.4358
P2 P 0.0515 0.3810 0.9405
O1 O 0.0105 0.2043 0.2107
O2 O 0.0319 0.8330 0.1051
O3 O 0.0673 0.8519 0.7177
O4 O 0.0862 0.8719 0.4223
O5 O 0.1385 0.6803 0.4968
O6 O 0.1584 0.4812 0.6034
O7 O 0.1915 0.4445 0.2863
O8 O 0.2041 0.4541 0.9903
```